YNb4Ge2: calculated X-ray diffraction stick pattern (Cu Kα, 1.54184 Å), based on a cell relaxed with PBE.
Lines closer than 0.1° are merged.

Most intense lines, 2θ = 15–90°, by angle:
d = 2.871 Å, 31.16 deg, I 12.9; d = 2.510 Å, 35.77 deg, I 100.0; d = 2.380 Å, 37.80 deg, I 10.6; d = 2.168 Å, 41.65 deg, I 25.0; d = 2.153 Å, 41.97 deg, I 9.8; d = 2.129 Å, 42.46 deg, I 24.4; d = 1.848 Å, 49.32 deg, I 16.1; d = 1.395 Å, 67.07 deg, I 12.1; d = 1.291 Å, 73.34 deg, I 11.6; d = 1.159 Å, 83.39 deg, I 8.9

Crystal structure
Lattice parameters (Å, degrees): 8.808 8.808 4.257 90.00 90.00 155.78
Sites, in units of the cell vectors:
Y1 0.000 0.000 0.000
Nb1 0.182 0.818 0.500
Nb2 0.324 0.676 0.000
Nb3 0.676 0.324 0.000
Nb4 0.818 0.182 0.500
Ge1 0.428 0.572 0.500
Ge2 0.572 0.428 0.500


Y2Nb3Ge4: calculated X-ray diffraction stick pattern (Cu Kα, 1.54184 Å), based on a cell relaxed with PBE.
Lines closer than 0.1° are merged.

Most intense lines, 2θ = 15–90°, by angle:
d = 2.618 Å, 34.25 deg, I 100.0; d = 2.591 Å, 34.62 deg, I 90.2; d = 2.473 Å, 36.32 deg, I 75.7; d = 2.392 Å, 37.60 deg, I 32.2; d = 2.333 Å, 38.60 deg, I 37.0; d = 2.314 Å, 38.93 deg, I 40.2; d = 2.266 Å, 39.78 deg, I 25.8; d = 2.242 Å, 40.21 deg, I 55.1; d = 2.228 Å, 40.49 deg, I 76.4; d = 2.150 Å, 42.02 deg, I 28.7

Crystal structure
Lattice parameters (Å, degrees): 7.027 13.596 7.209 90.00 90.00 90.00
Sites, in units of the cell vectors:
Y1 0.003 0.095 0.174
Y2 0.003 0.405 0.174
Y3 0.497 0.595 0.674
Y4 0.497 0.905 0.674
Y5 0.503 0.095 0.326
Y6 0.503 0.405 0.326
Y7 0.997 0.595 0.826
Y8 0.997 0.905 0.826
Nb1 0.160 0.627 0.329
Nb2 0.160 0.873 0.329
Nb3 0.165 0.250 0.513
Nb4 0.335 0.750 0.013
Nb5 0.340 0.127 0.829
Nb6 0.340 0.373 0.829
Nb7 0.660 0.627 0.171
Nb8 0.660 0.873 0.171
Nb9 0.665 0.250 0.987
Nb10 0.835 0.750 0.487
Nb11 0.840 0.127 0.671
Nb12 0.840 0.373 0.671
Ge1 0.040 0.250 0.879
Ge2 0.174 0.042 0.539
Ge3 0.174 0.458 0.539
Ge4 0.194 0.750 0.637
Ge5 0.306 0.250 0.137
Ge6 0.326 0.542 0.039
Ge7 0.326 0.958 0.039
Ge8 0.460 0.750 0.379
Ge9 0.540 0.250 0.621
Ge10 0.674 0.042 0.961
Ge11 0.674 0.458 0.961
Ge12 0.694 0.750 0.863
Ge13 0.806 0.250 0.363
Ge14 0.826 0.542 0.461
Ge15 0.826 0.958 0.461
Ge16 0.960 0.750 0.121


Zr2NbGe6: calculated X-ray diffraction stick pattern (Cu Kα, 1.54184 Å), based on a cell relaxed with PBE.
Lines closer than 0.1° are merged.

Most intense lines, 2θ = 15–90°, by angle:
d = 2.405 Å, 37.39 deg, I 100.0; d = 2.398 Å, 37.50 deg, I 47.9; d = 2.342 Å, 38.43 deg, I 51.4; d = 2.069 Å, 43.75 deg, I 61.2; d = 2.065 Å, 43.85 deg, I 33.1; d = 1.448 Å, 64.33 deg, I 38.4; d = 1.443 Å, 64.57 deg, I 19.3; d = 1.360 Å, 69.07 deg, I 15.2; d = 1.232 Å, 77.50 deg, I 16.7; d = 1.123 Å, 86.68 deg, I 19.0

Crystal structure
Lattice parameters (Å, degrees): 5.120 5.120 7.027 90.00 90.00 120.21
Sites, in units of the cell vectors:
Zr1 0.000 0.500 0.166
Zr2 0.500 0.000 0.834
Nb1 0.000 0.000 0.500
Ge1 0.174 0.335 0.829
Ge2 0.334 0.666 0.500
Ge3 0.335 0.174 0.171
Ge4 0.665 0.826 0.171
Ge5 0.666 0.334 0.500
Ge6 0.826 0.665 0.829


Nd4Ge13: calculated X-ray diffraction stick pattern (Cu Kα, 1.54184 Å), based on a cell relaxed with PBE.
Lines closer than 0.1° are merged.

Most intense lines, 2θ = 15–90°, by angle:
d = 3.549 Å, 25.09 deg, I 10.8; d = 2.885 Å, 31.00 deg, I 11.8; d = 2.810 Å, 31.85 deg, I 17.1; d = 2.688 Å, 33.34 deg, I 100.0; d = 2.436 Å, 36.90 deg, I 20.9; d = 2.057 Å, 44.01 deg, I 24.2; d = 2.000 Å, 45.35 deg, I 28.7; d = 1.630 Å, 56.46 deg, I 10.9; d = 1.434 Å, 65.03 deg, I 15.3; d = 1.252 Å, 76.04 deg, I 11.6

Crystal structure
Lattice parameters (Å, degrees): 4.000 4.115 23.078 90.00 90.00 90.00
Sites, in units of the cell vectors:
Nd1 0.000 0.000 0.000
Nd2 0.000 0.000 0.312
Nd3 0.500 0.000 0.477
Nd4 0.500 0.000 0.841
Ge1 0.000 0.000 0.622
Ge2 0.000 0.000 0.736
Ge3 0.000 0.500 0.102
Ge4 0.000 0.500 0.211
Ge5 0.000 0.500 0.424
Ge6 0.000 0.500 0.540
Ge7 0.000 0.500 0.885
Ge8 0.500 0.000 0.102
Ge9 0.500 0.000 0.210
Ge10 0.500 0.500 0.356
Ge11 0.500 0.500 0.627
Ge12 0.500 0.500 0.740
Ge13 0.500 0.500 0.955


Nd4Ge7: calculated X-ray diffraction stick pattern (Cu Kα, 1.54184 Å), based on a cell relaxed with PBE.
Lines closer than 0.1° are merged.

Most intense lines, 2θ = 15–90°, by angle:
d = 3.153 Å, 28.30 deg, I 41.8; d = 2.773 Å, 32.28 deg, I 100.0; d = 2.345 Å, 38.38 deg, I 46.0; d = 2.135 Å, 42.34 deg, I 37.6; d = 1.823 Å, 50.02 deg, I 7.2; d = 1.815 Å, 50.28 deg, I 17.1; d = 1.768 Å, 51.72 deg, I 9.4; d = 1.579 Å, 58.47 deg, I 20.0; d = 1.383 Å, 67.78 deg, I 16.4; d = 1.326 Å, 71.12 deg, I 17.6

Crystal structure
Lattice parameters (Å, degrees): 7.638 7.638 12.084 90.00 90.00 133.48
Sites, in units of the cell vectors:
Nd1 0.004 0.996 0.750
Nd2 0.019 0.509 0.120
Nd3 0.486 0.486 0.500
Nd4 0.491 0.981 0.380
Nd5 0.509 0.019 0.880
Nd6 0.514 0.514 0.000
Nd7 0.981 0.491 0.620
Nd8 0.996 0.004 0.250
Ge1 0.070 0.893 0.490
Ge2 0.080 0.425 0.371
Ge3 0.107 0.930 0.010
Ge4 0.182 0.476 0.836
Ge5 0.425 0.080 0.629
Ge6 0.439 0.561 0.250
Ge7 0.476 0.182 0.164
Ge8 0.524 0.818 0.664
Ge9 0.561 0.439 0.750
Ge10 0.575 0.920 0.129
Ge11 0.818 0.524 0.336
Ge12 0.893 0.070 0.510
Ge13 0.920 0.575 0.871
Ge14 0.930 0.107 0.990


Nd2Ni3Ge2: calculated X-ray diffraction stick pattern (Cu Kα, 1.54184 Å), based on a cell relaxed with PBE.
Lines closer than 0.1° are merged.

Most intense lines, 2θ = 15–90°, by angle:
d = 3.060 Å, 29.18 deg, I 45.6; d = 2.621 Å, 34.22 deg, I 88.3; d = 2.554 Å, 35.14 deg, I 60.6; d = 2.502 Å, 35.89 deg, I 54.4; d = 2.463 Å, 36.48 deg, I 63.3; d = 2.388 Å, 37.67 deg, I 62.3; d = 2.358 Å, 38.16 deg, I 92.8; d = 2.280 Å, 39.52 deg, I 33.8; d = 2.159 Å, 41.84 deg, I 100.0; d = 1.944 Å, 46.73 deg, I 60.2

Crystal structure
Lattice parameters (Å, degrees): 5.682 5.682 6.843 114.85 114.85 40.01
Sites, in units of the cell vectors:
Nd1 0.132 0.132 0.258
Nd2 0.868 0.868 0.742
Ni1 0.362 0.362 0.075
Ni2 0.500 0.500 0.500
Ni3 0.638 0.638 0.925
Ge1 0.146 0.146 0.725
Ge2 0.854 0.854 0.275


Nd2Ni7Ge: calculated X-ray diffraction stick pattern (Cu Kα, 1.54184 Å), based on a cell relaxed with PBE.
Lines closer than 0.1° are merged.

Most intense lines, 2θ = 15–90°, by angle:
d = 2.781 Å, 32.19 deg, I 16.2; d = 2.564 Å, 34.99 deg, I 61.7; d = 2.439 Å, 36.86 deg, I 100.0; d = 1.966 Å, 46.16 deg, I 50.6; d = 1.803 Å, 50.62 deg, I 28.5; d = 1.560 Å, 59.22 deg, I 26.1; d = 1.445 Å, 64.49 deg, I 11.2; d = 1.390 Å, 67.35 deg, I 15.5; d = 1.329 Å, 70.91 deg, I 20.0; d = 1.208 Å, 79.33 deg, I 21.1

Crystal structure
Lattice parameters (Å, degrees): 3.933 3.933 10.146 90.00 90.00 90.00
Sites, in units of the cell vectors:
Nd1 0.000 0.500 0.238
Nd2 0.500 0.000 0.762
Ni1 0.000 0.000 0.000
Ni2 0.000 0.500 0.633
Ni3 0.000 0.500 0.864
Ni4 0.500 0.000 0.136
Ni5 0.500 0.000 0.367
Ni6 0.500 0.500 0.000
Ni7 0.500 0.500 0.500
Ge1 0.000 0.000 0.500


Nd2Ni5Ge2: calculated X-ray diffraction stick pattern (Cu Kα, 1.54184 Å), based on a cell relaxed with PBE.
Lines closer than 0.1° are merged.

Most intense lines, 2θ = 15–90°, by angle:
d = 2.964 Å, 30.15 deg, I 68.3; d = 2.420 Å, 37.15 deg, I 100.0; d = 2.328 Å, 38.67 deg, I 14.5; d = 2.093 Å, 43.23 deg, I 67.0; d = 2.035 Å, 44.53 deg, I 27.6; d = 1.878 Å, 48.48 deg, I 17.4; d = 1.710 Å, 53.59 deg, I 20.2; d = 1.480 Å, 62.79 deg, I 21.2; d = 1.266 Å, 75.02 deg, I 15.1; d = 1.263 Å, 75.27 deg, I 23.4

Crystal structure
Lattice parameters (Å, degrees): 4.186 4.186 8.404 90.00 90.00 90.00
Sites, in units of the cell vectors:
Nd1 0.000 0.000 0.000
Nd2 0.000 0.000 0.500
Ni1 0.000 0.500 0.218
Ni2 0.000 0.500 0.782
Ni3 0.500 0.000 0.218
Ni4 0.500 0.000 0.782
Ni5 0.500 0.500 0.000
Ge1 0.500 0.500 0.341
Ge2 0.500 0.500 0.659


Nd3Ni2Ge4: calculated X-ray diffraction stick pattern (Cu Kα, 1.54184 Å), based on a cell relaxed with PBE.
Lines closer than 0.1° are merged.

Most intense lines, 2θ = 15–90°, by angle:
d = 3.718 Å, 23.93 deg, I 19.8; d = 2.761 Å, 32.43 deg, I 58.4; d = 2.725 Å, 32.86 deg, I 17.9; d = 2.691 Å, 33.29 deg, I 47.3; d = 2.646 Å, 33.88 deg, I 100.0; d = 2.269 Å, 39.73 deg, I 24.7; d = 2.167 Å, 41.68 deg, I 40.2; d = 2.137 Å, 42.30 deg, I 40.0; d = 1.662 Å, 55.28 deg, I 17.2; d = 1.465 Å, 63.48 deg, I 19.0

Crystal structure
Lattice parameters (Å, degrees): 5.874 5.874 8.349 106.91 106.91 42.66
Sites, in units of the cell vectors:
Nd1 0.000 0.000 0.000
Nd2 0.380 0.380 0.312
Nd3 0.620 0.620 0.688
Ni1 0.318 0.318 0.653
Ni2 0.682 0.682 0.347
Ge1 0.110 0.110 0.403
Ge2 0.285 0.285 0.924
Ge3 0.715 0.715 0.076
Ge4 0.890 0.890 0.597


Nd3Ni2Ge4: calculated X-ray diffraction stick pattern (Cu Kα, 1.54184 Å), based on a cell relaxed with PBE.
Lines closer than 0.1° are merged.

Most intense lines, 2θ = 15–90°, by angle:
d = 2.746 Å, 32.61 deg, I 100.0; d = 2.740 Å, 32.68 deg, I 25.9; d = 2.729 Å, 32.82 deg, I 23.7; d = 2.100 Å, 43.07 deg, I 41.1; d = 2.083 Å, 43.44 deg, I 38.9; d = 1.665 Å, 55.17 deg, I 22.1; d = 1.485 Å, 62.54 deg, I 13.2; d = 1.482 Å, 62.67 deg, I 12.8; d = 1.477 Å, 62.92 deg, I 12.3; d = 1.306 Å, 72.37 deg, I 14.9

Crystal structure
Lattice parameters (Å, degrees): 5.930 5.930 8.322 99.68 99.68 41.45
Sites, in units of the cell vectors:
Nd1 0.000 0.000 0.000
Nd2 0.338 0.338 0.339
Nd3 0.662 0.662 0.661
Ni1 0.394 0.394 0.719
Ni2 0.606 0.606 0.281
Ge1 0.060 0.060 0.380
Ge2 0.281 0.281 0.929
Ge3 0.719 0.719 0.071
Ge4 0.940 0.940 0.620


Nd3Ni2Ge2: calculated X-ray diffraction stick pattern (Cu Kα, 1.54184 Å), based on a cell relaxed with PBE.
Lines closer than 0.1° are merged.

Most intense lines, 2θ = 15–90°, by angle:
d = 3.435 Å, 25.94 deg, I 29.0; d = 2.928 Å, 30.53 deg, I 19.5; d = 2.843 Å, 31.47 deg, I 100.0; d = 2.709 Å, 33.06 deg, I 56.1; d = 2.480 Å, 36.23 deg, I 39.9; d = 2.160 Å, 41.82 deg, I 23.1; d = 2.128 Å, 42.47 deg, I 29.2; d = 2.121 Å, 42.64 deg, I 28.9; d = 2.097 Å, 43.14 deg, I 19.5; d = 1.670 Å, 54.99 deg, I 25.6

Crystal structure
Lattice parameters (Å, degrees): 9.283 9.283 9.283 153.59 153.49 37.77
Sites, in units of the cell vectors:
Nd1 0.000 0.000 0.000
Nd2 0.179 0.679 0.500
Nd3 0.821 0.321 0.500
Ni1 0.432 0.432 0.000
Ni2 0.568 0.568 0.000
Ge1 0.361 0.861 0.500
Ge2 0.639 0.139 0.500


NdNi5Ge2: calculated X-ray diffraction stick pattern (Cu Kα, 1.54184 Å), based on a cell relaxed with PBE.
Lines closer than 0.1° are merged.

Most intense lines, 2θ = 15–90°, by angle:
d = 3.340 Å, 26.69 deg, I 18.7; d = 2.824 Å, 31.68 deg, I 24.2; d = 2.677 Å, 33.47 deg, I 55.1; d = 2.408 Å, 37.34 deg, I 100.0; d = 2.395 Å, 37.55 deg, I 86.3; d = 2.166 Å, 41.70 deg, I 18.3; d = 1.915 Å, 47.48 deg, I 87.0; d = 1.872 Å, 48.64 deg, I 41.8; d = 1.771 Å, 51.61 deg, I 29.1; d = 1.339 Å, 70.33 deg, I 37.6

Crystal structure
Lattice parameters (Å, degrees): 6.043 6.043 6.043 143.91 112.89 78.63
Sites, in units of the cell vectors:
Nd1 0.000 0.000 0.000
Ni1 0.174 0.359 0.815
Ni2 0.456 0.641 0.815
Ni3 0.500 0.000 0.500
Ni4 0.544 0.359 0.185
Ni5 0.826 0.641 0.185
Ge1 0.254 0.754 0.500
Ge2 0.746 0.246 0.500


Pr2NdNi2Ge2: calculated X-ray diffraction stick pattern (Cu Kα, 1.54184 Å), based on a cell relaxed with PBE.
Lines closer than 0.1° are merged.

Most intense lines, 2θ = 15–90°, by angle:
d = 5.524 Å, 16.04 deg, I 14.1; d = 3.640 Å, 24.46 deg, I 39.4; d = 2.897 Å, 30.87 deg, I 49.6; d = 2.744 Å, 32.63 deg, I 100.0; d = 2.457 Å, 36.57 deg, I 42.5; d = 2.114 Å, 42.77 deg, I 81.6; d = 1.841 Å, 49.50 deg, I 15.1; d = 1.675 Å, 54.82 deg, I 22.5; d = 1.389 Å, 67.44 deg, I 35.1; d = 1.313 Å, 71.92 deg, I 19.7

Crystal structure
Lattice parameters (Å, degrees): 11.315 11.315 11.315 21.54 21.54 21.54
Sites, in units of the cell vectors:
Pr1 0.114 0.114 0.114
Pr2 0.886 0.886 0.886
Nd1 0.000 0.000 0.000
Ni1 0.392 0.392 0.392
Ni2 0.608 0.608 0.608
Ge1 0.272 0.272 0.272
Ge2 0.728 0.728 0.728